This entry pairs a crystal structure of LaDy5Cd6 with its computed XRD peak list. Radiation: Cu Kα (weighted mean of Kα1 and Kα2). Structure: a GGA-PBE-relaxed structure.
No peak broadening, texture or thermal motion is included.

Structure:
Cell: 8.4303 8.4303 7.5990 Å, 90.00 90.00 143.24°
Sites, in units of the cell vectors:
La 0.0000 0.0000 0.0000
Dy 0.0000 0.0000 0.5000
Dy 0.3317 0.6683 0.0000
Dy 0.3368 0.6632 0.5000
Dy 0.6632 0.3368 0.5000
Dy 0.6683 0.3317 0.0000
Cd 0.1714 0.8286 0.2586
Cd 0.1714 0.8286 0.7414
Cd 0.5000 0.5000 0.2581
Cd 0.5000 0.5000 0.7419
Cd 0.8286 0.1714 0.2586
Cd 0.8286 0.1714 0.7414

Most intense lines, 2θ = 10–90°, sorted by position:
| d/Å | Rel. int. |
| --- | --- |
| 2.674 | 100 |
| 2.667 | 25 |
| 2.658 | 25 |
| 1.900 | 9 |
| 1.883 | 18 |
| 1.546 | 18 |
| 1.541 | 18 |
| 1.538 | 18 |
| 1.337 | 11 |
| 1.192 | 11 |